(1)
Diffraction record for MgZn2CdAu2. The XRD peak list is calculated, not measured: it uses a crystal structure in Alexandria, relaxed with GGA-PBE and a wavelength of 1.5418 Å.
Neutral-atom scattering factors, no anomalous dispersion.

Cell and atoms:
Unit cell a=4.4126 b=4.4126 c=21.9674 alpha=90.00 beta=90.00 gamma=120.00
Space group R-3m (No. 166, hexagonal axes)
Asymmetric unit:
Mg1 0.0000 0.0000 0.0000 [3 per cell]
Zn1 0.0000 0.0000 0.3802 [6 per cell]
Cd1 0.0000 0.0000 0.5000 [3 per cell]
Au1 0.0000 0.0000 0.2558 [6 per cell]

Most intense lines, 2θ from 15° to 90°, low angle first:
| two_theta | I/Imax | h k l |
| --- | --- | --- |
| 23.6 | 39 | 1 0 1 |
| 24.7 | 47 | 0 1 2 |
| 28.5 | 86 | 1 0 4 |
| 40.5 | 97 | 0 1 8 |
| 40.9 | 100 | 1 1 0 |
| 48.2 | 21 | 1 1 6 |
| 58.9 | 32 | 2 0 8 |
| 74.2 | 32 | 1 2 8 |

---

(2)
Diffraction record for MnCd6Au12. The XRD peak list is calculated, not measured: it uses a crystal structure in Alexandria, relaxed with GGA-PBE and a wavelength of 1.5418 Å.
Neutral-atom scattering factors, no anomalous dispersion.

Cell and atoms:
Unit cell a=10.3834 b=10.3834 c=11.8339 alpha=90.00 beta=90.00 gamma=120.00
Space group R-3 (No. 148, hexagonal axes)
Asymmetric unit:
Mn1 0.0000 0.0000 0.0000 [3 per cell]
Cd1 0.0203 0.5966 0.7124 [18 per cell]
Au1 0.0466 0.8654 0.8200 [18 per cell]
Au2 0.0548 0.1975 0.4049 [18 per cell]

Most intense lines, 2θ from 15° to 90°, low angle first:
| two_theta | I/Imax | h k l |
| --- | --- | --- |
| 27.3 | 22 | 3 -1 1 |
| 36.8 | 100 | 4 -3 1 |
| 37.7 | 51 | 0 3 3 |
| 39.2 | 77 | 3 1 2 |
| 39.4 | 51 | 0 1 5 |
| 40.4 | 52 | 2 1 4 |
| 69.5 | 32 | 7 -5 3 |
| 83.0 | 23 | 5 2 6 |

---

(3)
Diffraction record for MnCd2Au2. The XRD peak list is calculated, not measured: it uses a crystal structure in Alexandria, relaxed with GGA-PBE and a wavelength of 1.5418 Å.
Neutral-atom scattering factors, no anomalous dispersion.

Cell and atoms:
Unit cell a=7.093 b=7.093 c=4.006 alpha=90.00 beta=90.00 gamma=90.00
Space group P4/mbm (No. 127)
Asymmetric unit:
Mn1 0.000 0.000 0.000 [2 per cell]
Cd1 0.162 0.338 0.500 [4 per cell]
Au1 0.143 0.643 0.000 [4 per cell]

Most intense lines, 2θ from 15° to 90°, low angle first:
| two_theta | I/Imax | h k l |
| --- | --- | --- |
| 17.7 | 16 | 1 1 0 |
| 36.1 | 100 | 2 1 1 |
| 40.2 | 26 | 3 1 0 |
| 45.3 | 13 | 0 0 2 |
| 58.4 | 9 | 4 1 1 |
| 62.1 | 14 | 3 1 2 |
| 76.1 | 16 | 5 2 1 |
| 77.6 | 11 | 2 1 3 |